Starting from a cell relaxed with PBE+U, the X-ray diffraction stick pattern of KLiW3O9 was calculated for CuKα.
Intensities are scaled so that the largest is 100.

Peak list (8 most intense, 2θ from 15° to 90°, by angle)
2θ (°)  I/Imax  h k l
22.89  64  0 0 2
26.58  22  1 0 2
27.01  100  0 2 0
27.46  47  2 2 0
35.67  26  0 2 2
35.87  28  2 2 2
48.27  24  2 4 0
54.82  22  0 2 -4

Crystal structure
abc: 7.5363 7.5503 7.7720
angles: 89.71 89.40 61.09
Space group P1 (No. 1)
Symmetry-distinct sites (fractional):
K: 0.0000 0.0000 0.0000 (multiplicity 1)
K: 0.0904 0.0163 0.5011 (multiplicity 1)
Li: 0.3625 0.3193 0.5017 (multiplicity 1)
Li: 0.7309 0.6936 0.0003 (multiplicity 1)
W: 0.0464 0.5069 0.2520 (multiplicity 1)
W: 0.0471 0.5058 0.7520 (multiplicity 1)
W: 0.5458 0.0069 0.2489 (multiplicity 1)
W: 0.5469 0.5059 0.7523 (multiplicity 1)
W: 0.5466 0.5069 0.2523 (multiplicity 1)
W: 0.5477 0.0058 0.7488 (multiplicity 1)
O: 0.0315 0.4667 0.9944 (multiplicity 1)
O: 0.0619 0.5460 0.5098 (multiplicity 1)
O: 0.2488 0.5878 0.2175 (multiplicity 1)
O: 0.2661 0.5860 0.7862 (multiplicity 1)
O: 0.2693 0.2126 0.7138 (multiplicity 1)
O: 0.2697 0.2168 0.2939 (multiplicity 1)
O: 0.4646 0.8048 0.2889 (multiplicity 1)
O: 0.4690 0.8015 0.7181 (multiplicity 1)
O: 0.5014 0.9966 0.0020 (multiplicity 1)
O: 0.5131 0.4730 0.4948 (multiplicity 1)
O: 0.5807 0.5395 0.0096 (multiplicity 1)
O: 0.5921 0.0161 0.5006 (multiplicity 1)
O: 0.6256 0.2100 0.7857 (multiplicity 1)
O: 0.6281 0.2088 0.2150 (multiplicity 1)
O: 0.8232 0.7964 0.2094 (multiplicity 1)
O: 0.8248 0.7995 0.7896 (multiplicity 1)
O: 0.8282 0.4253 0.7185 (multiplicity 1)
O: 0.8445 0.4253 0.2874 (multiplicity 1)